# PrAgTe
Simulated powder diffraction line list, Cu Kα X-rays. Input: a structure optimized by DFT (GGA-PBE).

Principal peaks in the range 10° ≤ 2θ ≤ 90°, most intense first:
- hkl 2 2 0, 34.52 deg, d 2.598, rel. 100
- hkl 4 2 2, 61.85 deg, d 1.500, rel. 36
- hkl 1 1 1, 20.94 deg, d 4.243, rel. 33
- hkl 3 1 1, 40.72 deg, d 2.216, rel. 18
- hkl 4 0 0, 49.62 deg, d 1.837, rel. 18
- hkl 6 2 0, 83.13 deg, d 1.162, rel. 16
- hkl 4 4 0, 72.80 deg, d 1.299, rel. 11
- hkl 2 0 0, 24.22 deg, d 3.674, rel. 8

Cell and atoms:
```
data_PrAgTe
_chemical_formula_sum 'Pr4 Ag4 Te4'
_cell_length_a 7.3486
_cell_length_b 7.3486
_cell_length_c 7.3486
_cell_angle_alpha 90.00
_cell_angle_beta 90.00
_cell_angle_gamma 90.00
_space_group_name_H-M_alt 'F -4 3 m'
_space_group_IT_number 216
_space_group_name_Hall 'F -4 2 3'
loop_
_atom_site_label
_atom_site_fract_x
_atom_site_fract_y
_atom_site_fract_z
Pr1 0.0000 0.0000 0.0000
Ag1 0.2500 0.2500 0.7500
Te1 0.2500 0.2500 0.2500
```